Diffraction record for Cr5O7. The X-ray diffraction stick pattern is computed, not measured: it uses a crystal structure in Alexandria, relaxed with PBE+U and Cu Kα (λ = 1.5418 Å).

Most intense lines, 2θ = 10–90°, low angle first:
20.1°, rel. 37; 32.5°, rel. 45; 34.7°, rel. 100; 39.2°, rel. 29; 40.3°, rel. 41; 41.3°, rel. 74; 42.8°, rel. 60; 44.9°, rel. 32; 60.4°, rel. 37; 60.6°, rel. 38

Structural model:
Unit cell a=5.2990 b=5.2990 c=18.0405 alpha=90.00 beta=90.00 gamma=146.85
Fractional positions:
Cr1 0.0000 0.0000 0.0000
Cr2 0.0000 0.0000 0.5000
Cr3 0.2700 0.7300 0.5766
Cr4 0.2700 0.7300 0.9234
Cr5 0.4594 0.5406 0.1598
Cr6 0.4594 0.5406 0.3402
Cr7 0.5406 0.4594 0.6598
Cr8 0.5406 0.4594 0.8402
Cr9 0.7300 0.2700 0.0766
Cr10 0.7300 0.2700 0.4234
O1 0.0972 0.9028 0.1002
O2 0.0972 0.9028 0.3998
O3 0.1603 0.8397 0.6639
O4 0.1603 0.8397 0.8361
O5 0.3504 0.6496 0.0344
O6 0.3504 0.6496 0.4656
O7 0.4608 0.5392 0.7500
O8 0.5392 0.4608 0.2500
O9 0.6496 0.3504 0.5344
O10 0.6496 0.3504 0.9656
O11 0.8397 0.1603 0.1639
O12 0.8397 0.1603 0.3361
O13 0.9028 0.0972 0.6002
O14 0.9028 0.0972 0.8998